Entry 1:
Diffraction record for Tb8Tm3In. The X-ray powder pattern is simulated, not measured: it uses the GGA-PBE geometry in Alexandria and Cu Kα.
Lines closer than 0.1° are merged.

Peak list (10 most intense, 15° ≤ 2θ ≤ 90°, low angle first)
2θ 24.5, I = 621
2θ 26.1, I = 554
2θ 29.5, I = 765
2θ 31.7, I = 658
2θ 33.3, I = 307
2θ 36.8, I = 1000
2θ 43.8, I = 461
2θ 45.3, I = 425
2θ 59.8, I = 299
2θ 70.5, I = 285

```
data_Tb8Tm3In
_chemical_formula_sum 'Tb8 Tm3 In1'
_cell_length_a 8.287
_cell_length_b 8.287
_cell_length_c 8.287
_cell_angle_alpha 117.73
_cell_angle_beta 117.73
_cell_angle_gamma 93.97
_space_group_name_H-M_alt 'P 1'
_space_group_IT_number 1
_space_group_name_Hall 'P 1'
loop_
_atom_site_label
_atom_site_type_symbol
_atom_site_fract_x
_atom_site_fract_y
_atom_site_fract_z
Tb1 Tb 0.129 0.129 0.746
Tb2 Tb 0.235 0.725 0.000
Tb3 Tb 0.275 0.275 0.510
Tb4 Tb 0.382 0.382 0.254
Tb5 Tb 0.618 0.871 0.000
Tb6 Tb 0.725 0.235 0.000
Tb7 Tb 0.765 0.765 0.490
Tb8 Tb 0.871 0.618 0.000
Tm1 Tm 0.250 0.750 0.500
Tm2 Tm 0.500 0.500 0.000
Tm3 Tm 0.750 0.250 0.500
In1 In 0.000 0.000 0.000
```

Entry 2:
Diffraction record for Y2TcHBr. The X-ray powder pattern is simulated, not measured: it uses the GGA-PBE geometry in Alexandria and Cu Kα.
Lines closer than 0.1° are merged.

Peak list (10 most intense, 15° ≤ 2θ ≤ 90°, low angle first)
2θ 33.9, I = 1000
2θ 38.9, I = 173
2θ 39.6, I = 328
2θ 56.7, I = 223
2θ 57.3, I = 108
2θ 67.3, I = 130
2θ 68.3, I = 250
2θ 71.4, I = 110
2θ 83.6, I = 18
2θ 85.3, I = 34

```
data_Y2TcHBr
_chemical_formula_sum 'Y2 Tc1 H1 Br1'
_cell_length_a 4.550
_cell_length_b 4.550
_cell_length_c 4.629
_cell_angle_alpha 90.00
_cell_angle_beta 90.00
_cell_angle_gamma 90.00
_space_group_name_H-M_alt 'P 1'
_space_group_IT_number 1
_space_group_name_Hall 'P 1'
loop_
_atom_site_label
_atom_site_type_symbol
_atom_site_fract_x
_atom_site_fract_y
_atom_site_fract_z
Y1 Y 0.000 0.500 0.000
Y2 Y 0.500 0.000 0.000
Tc1 Tc 0.000 0.000 0.500
H1 H 0.500 0.500 0.000
Br1 Br 0.500 0.500 0.500
```

Entry 3:
Diffraction record for Li3CuPCO7. The X-ray powder pattern is simulated, not measured: it uses the GGA-PBE geometry in Alexandria and Cu Kα.
Lines closer than 0.1° are merged.

Peak list (10 most intense, 15° ≤ 2θ ≤ 90°, low angle first)
2θ 17.4, I = 1000
2θ 17.5, I = 481
2θ 20.0, I = 219
2θ 20.7, I = 456
2θ 26.8, I = 303
2θ 27.6, I = 244
2θ 28.5, I = 977
2θ 35.3, I = 331
2θ 35.6, I = 198
2θ 39.3, I = 283

```
data_Li3CuPCO7
_chemical_formula_sum 'Li6 Cu2 P2 C2 O14'
_cell_length_a 5.092
_cell_length_b 6.269
_cell_length_c 8.566
_cell_angle_alpha 90.00
_cell_angle_beta 91.57
_cell_angle_gamma 90.00
_space_group_name_H-M_alt 'P 1'
_space_group_IT_number 1
_space_group_name_Hall 'P 1'
loop_
_atom_site_label
_atom_site_type_symbol
_atom_site_fract_x
_atom_site_fract_y
_atom_site_fract_z
Li1 Li 0.047 0.000 0.003
Li2 Li 0.418 0.689 0.803
Li3 Li 0.444 0.865 0.458
Li4 Li 0.556 0.365 0.542
Li5 Li 0.582 0.189 0.197
Li6 Li 0.953 0.500 0.997
Cu1 Cu 0.042 0.223 0.724
Cu2 Cu 0.958 0.723 0.276
P1 P 0.044 0.222 0.346
P2 P 0.956 0.722 0.654
C1 C 0.460 0.709 0.114
C2 C 0.540 0.209 0.886
O1 O 0.041 0.915 0.760
O2 O 0.069 0.533 0.756
O3 O 0.104 0.736 0.499
O4 O 0.207 0.724 0.081
O5 O 0.343 0.198 0.376
O6 O 0.383 0.176 0.999
O7 O 0.457 0.228 0.743
O8 O 0.543 0.728 0.257
O9 O 0.617 0.676 0.001
O10 O 0.657 0.698 0.624
O11 O 0.793 0.224 0.919
O12 O 0.896 0.236 0.501
O13 O 0.931 0.033 0.244
O14 O 0.959 0.415 0.240
```

Entry 4:
Diffraction record for CrCd3. The X-ray powder pattern is simulated, not measured: it uses the GGA-PBE geometry in Alexandria and Cu Kα.
Lines closer than 0.1° are merged.

Peak list (10 most intense, 15° ≤ 2θ ≤ 90°, low angle first)
2θ 35.2, I = 1000
2θ 36.2, I = 464
2θ 36.9, I = 434
2θ 40.7, I = 664
2θ 43.6, I = 263
2θ 57.0, I = 117
2θ 60.7, I = 284
2θ 61.7, I = 175
2θ 69.5, I = 126
2θ 69.9, I = 122

```
data_CrCd3
_chemical_formula_sum 'Cr1 Cd3'
_cell_length_a 5.241
_cell_length_b 5.241
_cell_length_c 5.195
_cell_angle_alpha 101.81
_cell_angle_beta 101.81
_cell_angle_gamma 35.89
_space_group_name_H-M_alt 'P 1'
_space_group_IT_number 1
_space_group_name_Hall 'P 1'
loop_
_atom_site_label
_atom_site_type_symbol
_atom_site_fract_x
_atom_site_fract_y
_atom_site_fract_z
Cr1 Cr 0.000 0.000 0.000
Cd1 Cd 0.256 0.256 0.761
Cd2 Cd 0.500 0.500 0.500
Cd3 Cd 0.744 0.744 0.239
```

Entry 5:
Diffraction record for AcLa3Cd8. The X-ray powder pattern is simulated, not measured: it uses the GGA-PBE geometry in Alexandria and Cu Kα.
Lines closer than 0.1° are merged.

Peak list (10 most intense, 15° ≤ 2θ ≤ 90°, low angle first)
2θ 28.8, I = 369
2θ 32.4, I = 662
2θ 34.3, I = 1000
2θ 34.7, I = 726
2θ 37.2, I = 149
2θ 53.3, I = 300
2θ 54.6, I = 261
2θ 58.8, I = 302
2θ 59.6, I = 276
2θ 85.2, I = 146

```
data_AcLa3Cd8
_chemical_formula_sum 'Ac1 La3 Cd8'
_cell_length_a 6.204
_cell_length_b 6.204
_cell_length_c 9.669
_cell_angle_alpha 90.00
_cell_angle_beta 90.00
_cell_angle_gamma 120.00
_space_group_name_H-M_alt 'P 1'
_space_group_IT_number 1
_space_group_name_Hall 'P 1'
loop_
_atom_site_label
_atom_site_type_symbol
_atom_site_fract_x
_atom_site_fract_y
_atom_site_fract_z
Ac1 Ac 0.000 0.000 0.000
La1 La 0.000 0.000 0.387
La2 La 0.667 0.333 0.498
La3 La 0.667 0.333 0.876
Cd1 Cd 0.165 0.330 0.688
Cd2 Cd 0.165 0.835 0.688
Cd3 Cd 0.333 0.667 0.438
Cd4 Cd 0.333 0.667 0.939
Cd5 Cd 0.504 0.007 0.192
Cd6 Cd 0.504 0.496 0.192
Cd7 Cd 0.670 0.835 0.688
Cd8 Cd 0.993 0.496 0.192
```

Entry 6:
Diffraction record for Li2Tl2Pb. The X-ray powder pattern is simulated, not measured: it uses the GGA-PBE geometry in Alexandria and Cu Kα.
Lines closer than 0.1° are merged.

Peak list (10 most intense, 15° ≤ 2θ ≤ 90°, low angle first)
2θ 25.0, I = 1000
2θ 28.7, I = 821
2θ 31.8, I = 223
2θ 32.9, I = 741
2θ 34.8, I = 955
2θ 35.6, I = 830
2θ 52.0, I = 346
2θ 54.7, I = 467
2θ 55.6, I = 231
2θ 61.9, I = 345

```
data_Li2Tl2Pb
_chemical_formula_sum 'Li4 Tl4 Pb2'
_cell_length_a 7.966
_cell_length_b 7.966
_cell_length_c 3.733
_cell_angle_alpha 90.00
_cell_angle_beta 90.00
_cell_angle_gamma 90.00
_space_group_name_H-M_alt 'P 1'
_space_group_IT_number 1
_space_group_name_Hall 'P 1'
loop_
_atom_site_label
_atom_site_type_symbol
_atom_site_fract_x
_atom_site_fract_y
_atom_site_fract_z
Li1 Li 0.140 0.360 0.000
Li2 Li 0.360 0.860 0.000
Li3 Li 0.640 0.140 0.000
Li4 Li 0.860 0.640 0.000
Tl1 Tl 0.158 0.658 0.500
Tl2 Tl 0.342 0.158 0.500
Tl3 Tl 0.658 0.842 0.500
Tl4 Tl 0.842 0.342 0.500
Pb1 Pb 0.000 0.000 0.000
Pb2 Pb 0.500 0.500 0.000
```

Entry 7:
Diffraction record for Sr3CdPt. The X-ray powder pattern is simulated, not measured: it uses the GGA-PBE geometry in Alexandria and Cu Kα.
Lines closer than 0.1° are merged.

Peak list (10 most intense, 15° ≤ 2θ ≤ 90°, low angle first)
2θ 19.7, I = 1000
2θ 23.1, I = 613
2θ 27.6, I = 833
2θ 30.5, I = 631
2θ 32.2, I = 315
2θ 32.5, I = 390
2θ 34.6, I = 905
2θ 38.0, I = 424
2θ 41.0, I = 389
2θ 43.4, I = 316

```
data_Sr3CdPt
_chemical_formula_sum 'Sr6 Cd2 Pt2'
_cell_length_a 9.614
_cell_length_b 9.614
_cell_length_c 4.405
_cell_angle_alpha 90.00
_cell_angle_beta 90.00
_cell_angle_gamma 109.98
_space_group_name_H-M_alt 'P 1'
_space_group_IT_number 1
_space_group_name_Hall 'P 1'
loop_
_atom_site_label
_atom_site_type_symbol
_atom_site_fract_x
_atom_site_fract_y
_atom_site_fract_z
Sr1 Sr 0.177 0.823 0.000
Sr2 Sr 0.181 0.434 0.500
Sr3 Sr 0.434 0.181 0.500
Sr4 Sr 0.566 0.819 0.500
Sr5 Sr 0.819 0.566 0.500
Sr6 Sr 0.823 0.177 0.000
Cd1 Cd 0.000 0.000 0.500
Cd2 Cd 0.500 0.500 0.000
Pt1 Pt 0.000 0.500 0.000
Pt2 Pt 0.500 0.000 0.000
```

Entry 8:
Diffraction record for Sr5PtO8. The X-ray powder pattern is simulated, not measured: it uses the GGA-PBE geometry in Alexandria and Cu Kα.
Lines closer than 0.1° are merged.

Peak list (10 most intense, 15° ≤ 2θ ≤ 90°, low angle first)
2θ 16.1, I = 230
2θ 16.9, I = 222
2θ 27.6, I = 585
2θ 29.1, I = 1000
2θ 35.0, I = 506
2θ 38.1, I = 387
2θ 44.6, I = 298
2θ 50.9, I = 205
2θ 55.6, I = 175
2θ 56.0, I = 226

```
data_Sr5PtO8
_chemical_formula_sum 'Sr5 Pt1 O8'
_cell_length_a 6.650
_cell_length_b 6.650
_cell_length_c 6.650
_cell_angle_alpha 112.41
_cell_angle_beta 112.41
_cell_angle_gamma 103.75
_space_group_name_H-M_alt 'P 1'
_space_group_IT_number 1
_space_group_name_Hall 'P 1'
loop_
_atom_site_label
_atom_site_type_symbol
_atom_site_fract_x
_atom_site_fract_y
_atom_site_fract_z
Sr1 Sr 0.000 0.000 0.000
Sr2 Sr 0.264 0.115 0.589
Sr3 Sr 0.326 0.736 0.851
Sr4 Sr 0.526 0.674 0.411
Sr5 Sr 0.885 0.474 0.149
Pt1 Pt 0.750 0.250 0.500
O1 O 0.032 0.302 0.787
O2 O 0.202 0.399 0.408
O3 O 0.206 0.798 0.197
O4 O 0.514 0.244 0.213
O5 O 0.601 0.009 0.803
O6 O 0.698 0.486 0.730
O7 O 0.756 0.968 0.270
O8 O 0.991 0.794 0.592
```

Entry 9:
Diffraction record for La3Pm2Tm. The X-ray powder pattern is simulated, not measured: it uses the GGA-PBE geometry in Alexandria and Cu Kα.
Lines closer than 0.1° are merged.

Peak list (10 most intense, 15° ≤ 2θ ≤ 90°, low angle first)
2θ 29.8, I = 1000
2θ 29.9, I = 328
2θ 34.6, I = 673
2θ 49.6, I = 242
2θ 49.8, I = 239
2θ 58.9, I = 240
2θ 59.1, I = 190
2θ 59.2, I = 142
2θ 80.5, I = 117
2θ 83.1, I = 108

```
data_La3Pm2Tm
_chemical_formula_sum 'La6 Pm4 Tm2'
_cell_length_a 10.368
_cell_length_b 3.675
_cell_length_c 10.999
_cell_angle_alpha 90.00
_cell_angle_beta 90.36
_cell_angle_gamma 90.00
_space_group_name_H-M_alt 'P 1'
_space_group_IT_number 1
_space_group_name_Hall 'P 1'
loop_
_atom_site_label
_atom_site_type_symbol
_atom_site_fract_x
_atom_site_fract_y
_atom_site_fract_z
La1 La 0.122 0.250 0.416
La2 La 0.370 0.750 0.914
La3 La 0.376 0.750 0.250
La4 La 0.624 0.250 0.750
La5 La 0.630 0.250 0.086
La6 La 0.878 0.750 0.584
Pm1 Pm 0.120 0.250 0.084
Pm2 Pm 0.371 0.750 0.584
Pm3 Pm 0.629 0.250 0.416
Pm4 Pm 0.880 0.750 0.916
Tm1 Tm 0.124 0.250 0.750
Tm2 Tm 0.876 0.750 0.250
```

What is the formula in the third record?
Li3CuPCO7